Entry 1:
The following is a theoretical powder diffractogram of Os4Ru. It was derived from a DFT-relaxed cell (PBE, Alexandria), using Cu Kα X-rays.
Neutral-atom scattering factors, no anomalous dispersion.

Crystal structure
abc: 4.1794 12.8415 2.7125
angles: 90.00 90.00 90.00
Space group Cmmm (No. 65)
Asymmetric unit:
Os  0.0000  0.1096  0.0000 x4
Os  0.0000  0.3012  0.5000 x4
Ru  0.0000  0.5000  0.5000 x2

Principal peaks in the range 2θ from 10° to 80°, in order of rising 2θ:
| (hkl) | two_theta | Rel. int. |
| --- | --- | --- |
| 0 2 0 | 13.79 | 15.1 |
| 0 2 1 | 35.94 | 15.0 |
| 1 1 1 | 40.25 | 80.2 |
| 1 5 0 | 41.26 | 100.0 |
| 2 0 0 | 43.30 | 45.5 |
| 0 4 1 | 43.69 | 37.6 |
| 1 3 1 | 45.13 | 32.8 |
| 0 6 1 | 54.63 | 15.7 |
| 2 4 1 | 63.20 | 25.3 |
| 3 5 0 | 78.03 | 15.8 |


Entry 2:
The following is a theoretical powder diffractogram of AcSm3As4. It was derived from a DFT-relaxed cell (PBE, Alexandria), using Cu Kα X-rays.
Neutral-atom scattering factors, no anomalous dispersion.

Crystal structure
abc: 6.0935 6.0935 6.0935
angles: 90.00 90.00 90.00
Space group Pm-3m (No. 221)
Asymmetric unit:
Ac  0.0000  0.0000  0.0000 x1
Sm  0.0000  0.5000  0.5000 x3
As  0.0000  0.0000  0.5000 x3
As  0.5000  0.5000  0.5000 x1

Principal peaks in the range 2θ from 10° to 80°, in order of rising 2θ:
| (hkl) | two_theta | Rel. int. |
| --- | --- | --- |
| 1 0 0 | 14.54 | 2.4 |
| 1 1 1 | 25.32 | 25.4 |
| 2 0 0 | 29.31 | 100.0 |
| 2 2 0 | 41.94 | 75.9 |
| 3 1 1 | 49.62 | 13.0 |
| 2 2 2 | 51.99 | 27.1 |
| 4 0 0 | 60.80 | 12.7 |
| 3 3 1 | 66.94 | 5.4 |
| 4 2 0 | 68.91 | 34.9 |
| 4 2 2 | 76.60 | 25.9 |


Entry 3:
The following is a theoretical powder diffractogram of Cs2NaLiHg. It was derived from a DFT-relaxed cell (PBE, Alexandria), using Cu Kα X-rays.
Neutral-atom scattering factors, no anomalous dispersion.

Crystal structure
abc: 7.3635 7.3635 5.4555
angles: 90.00 90.00 90.00
Space group P4/mmm (No. 123)
Asymmetric unit:
Cs  0.0000  0.5000  0.0000 x2
Na  0.0000  0.0000  0.5000 x1
Li  0.5000  0.5000  0.5000 x1
Hg  0.5000  0.5000  0.0000 x1

Principal peaks in the range 2θ from 10° to 80°, in order of rising 2θ:
| (hkl) | two_theta | Rel. int. |
| --- | --- | --- |
| 1 0 0 | 12.02 | 63.2 |
| 0 0 1 | 16.25 | 96.3 |
| 1 0 1 | 20.26 | 59.9 |
| 2 0 0 | 24.17 | 100.0 |
| 2 0 1 | 29.26 | 95.3 |
| 2 1 1 | 31.74 | 40.3 |
| 2 2 0 | 34.45 | 40.2 |
| 2 2 1 | 38.31 | 46.4 |
| 2 0 2 | 41.19 | 48.9 |
| 2 2 2 | 48.33 | 30.8 |